[1]
This entry pairs a crystal structure of LiTl2Rh with its theoretical powder diffraction line list. Radiation: Cu Kα (λ = 1.5418 Å). Structure: a DFT-relaxed cell (PBE, the Materials Project).

Structure:
```
4
Lattice="0.000 3.371 3.371 3.371 0.000 3.371 3.371 3.371 0.000" Properties=species:S:1:pos:R:3 pbc="T T T"
Li 0.000 0.000 0.000
Tl 1.685 1.685 1.685
Tl 5.056 5.056 5.056
Rh 3.371 3.371 3.371
```

Top 10 peaks for 15 to 90 degrees two-theta, by angle:
22.85 deg, intensity 10; 26.44 deg, intensity 40; 37.74 deg, intensity 100; 44.58 deg, intensity 5; 46.67 deg, intensity 12; 54.44 deg, intensity 18; 61.52 deg, intensity 16; 68.14 deg, intensity 36; 80.62 deg, intensity 11; 86.65 deg, intensity 8

[2]
This entry pairs a crystal structure of NbBi2O5F with its theoretical powder diffraction line list. Radiation: Cu Kα (λ = 1.5418 Å). Structure: a DFT-relaxed cell (PBE, the Materials Project).

Structure:
```
36
Lattice="5.475 0.000 0.000 0.000 16.981 0.000 0.000 0.000 5.467" Properties=species:S:1:pos:R:3 pbc="T T T"
Nb 0.063 4.191 0.000
Nb 2.675 4.191 2.734
Nb 2.800 12.791 0.000
Nb 5.412 12.791 2.734
Bi 0.031 9.773 5.361
Bi 0.137 1.285 2.623
Bi 2.600 1.285 5.356
Bi 2.706 9.773 2.628
Bi 2.768 7.209 5.361
Bi 2.874 15.697 2.623
Bi 5.338 15.697 5.356
Bi 5.444 7.209 2.628
O 0.393 2.332 0.155
O 1.100 4.737 1.726
O 1.142 12.786 1.237
O 1.351 16.944 4.056
O 1.360 8.437 4.054
O 1.377 8.437 1.320
O 1.386 16.944 1.323
O 1.596 12.786 3.971
O 1.638 4.737 4.460
O 2.345 2.332 2.888
O 3.130 14.650 0.155
O 3.837 12.244 1.726
O 3.879 4.196 1.237
O 4.088 0.037 4.056
O 4.097 8.545 4.054
O 4.115 8.545 1.320
O 4.124 0.037 1.323
O 4.333 4.196 3.971
O 4.375 12.244 4.460
O 5.082 14.650 2.888
F 0.280 10.575 2.794
F 2.457 10.575 0.061
F 3.018 6.406 2.794
F 5.194 6.406 0.061
```

Top 10 peaks for 15 to 90 degrees two-theta, by angle:
27.94 deg, intensity 100; 31.61 deg, intensity 18; 32.74 deg, intensity 33; 35.16 deg, intensity 12; 46.15 deg, intensity 28; 46.98 deg, intensity 17; 54.08 deg, intensity 17; 55.54 deg, intensity 31; 57.73 deg, intensity 13; 74.40 deg, intensity 12

[3]
This entry pairs a crystal structure of In2SiAg2Se6 with its theoretical powder diffraction line list. Radiation: Cu Kα (λ = 1.5418 Å). Structure: a DFT-relaxed cell (PBE, the Materials Project).

Structure:
```
22
Lattice="6.475 -3.799 0.000 6.475 3.799 0.000 -4.291 0.000 12.092" Properties=species:S:1:pos:R:3 pbc="T T T"
In 4.330 3.351 6.046
In -1.086 0.708 9.704
In 1.060 -0.708 3.658
In 6.475 -3.351 0.000
Si 2.432 2.018 8.989
Si 4.577 -2.018 2.943
Ag 4.065 1.549 1.893
Ag 1.920 -1.549 7.939
Ag 4.338 0.692 12.020
Ag 6.484 -0.692 5.974
Se 2.300 1.778 6.719
Se 6.700 1.996 1.387
Se 4.637 1.932 9.566
Se 1.501 0.171 9.998
Se 3.646 -0.171 3.952
Se 6.632 1.992 5.901
Se 4.445 -1.778 0.673
Se 4.554 -1.996 7.433
Se 7.717 0.051 9.623
Se 9.863 -0.051 3.577
Se 6.783 -1.932 3.520
Se 4.487 -1.992 11.947
```

Top 10 peaks for 15 to 90 degrees two-theta, by angle:
23.92 deg, intensity 58; 24.56 deg, intensity 59; 24.85 deg, intensity 95; 27.73 deg, intensity 63; 28.00 deg, intensity 77; 28.10 deg, intensity 65; 28.99 deg, intensity 93; 29.27 deg, intensity 50; 44.10 deg, intensity 100; 44.57 deg, intensity 84

[4]
This entry pairs a crystal structure of LiMg14Cd with its theoretical powder diffraction line list. Radiation: Cu Kα (λ = 1.5418 Å). Structure: a DFT-relaxed cell (PBE, the Materials Project).

Structure:
```
16
Lattice="10.298 0.000 0.000 0.000 3.188 5.514 0.000 -3.188 5.514" Properties=species:S:1:pos:R:3 pbc="T T T"
Li 0.000 0.000 0.000
Mg 0.000 -1.577 2.740
Mg 0.000 1.577 2.740
Mg 2.539 -1.597 4.601
Mg 2.539 1.597 4.601
Mg 2.557 0.000 7.335
Mg 2.581 0.000 1.828
Mg 5.149 1.597 8.263
Mg 5.149 0.000 5.494
Mg 5.149 -1.597 8.263
Mg 5.149 0.000 11.017
Mg 7.718 0.000 1.828
Mg 7.741 0.000 7.335
Mg 7.759 -1.597 4.601
Mg 7.759 1.597 4.601
Cd 0.000 0.000 5.498
```

Top 10 peaks for 15 to 90 degrees two-theta, by angle:
16.06 deg, intensity 22; 18.24 deg, intensity 33; 23.63 deg, intensity 17; 32.45 deg, intensity 25; 34.85 deg, intensity 26; 36.96 deg, intensity 100; 48.35 deg, intensity 16; 57.89 deg, intensity 17; 63.87 deg, intensity 19; 69.38 deg, intensity 19

[5]
This entry pairs a crystal structure of NaCuF3 with its theoretical powder diffraction line list. Radiation: Cu Kα (λ = 1.5418 Å). Structure: a DFT-relaxed cell (PBE, the Materials Project).

Structure:
```
20
Lattice="5.460 0.000 0.000 0.364 5.622 0.000 0.334 0.077 8.008" Properties=species:S:1:pos:R:3 pbc="T T T"
Na 0.152 0.327 2.083
Na 2.872 3.165 1.937
Na 3.286 2.534 6.071
Na 6.006 5.373 5.925
Cu 0.182 2.811 0.000
Cu 0.349 2.850 4.004
Cu 2.730 0.000 0.000
Cu 2.897 0.039 4.004
F 1.052 3.106 6.189
F 1.410 4.384 3.574
F 1.539 4.629 0.501
F 1.859 1.676 3.499
F 1.782 1.698 0.378
F 2.409 0.293 5.831
F 3.749 5.406 2.178
F 4.376 4.002 7.630
F 4.299 4.024 4.510
F 4.619 1.070 7.508
F 4.748 1.316 4.434
F 5.106 2.593 1.819
```

Top 10 peaks for 15 to 90 degrees two-theta, by angle:
21.99 deg, intensity 100; 22.20 deg, intensity 90; 23.46 deg, intensity 86; 30.84 deg, intensity 86; 31.84 deg, intensity 60; 32.04 deg, intensity 54; 32.15 deg, intensity 67; 32.90 deg, intensity 96; 44.84 deg, intensity 57; 45.29 deg, intensity 54

[6]
This entry pairs a crystal structure of Li3Bi with its theoretical powder diffraction line list. Radiation: Cu Kα (λ = 1.5418 Å). Structure: a DFT-relaxed cell (PBE, the Materials Project).

Structure:
```
8
Lattice="4.806 0.000 0.000 -2.403 4.163 0.000 0.000 0.000 8.535" Properties=species:S:1:pos:R:3 pbc="T T T"
Li 0.000 0.000 2.134
Li 0.000 0.000 6.402
Li 0.000 2.775 0.750
Li 0.000 2.775 3.518
Li 2.403 1.388 5.018
Li 2.403 1.388 7.786
Bi 0.000 2.775 6.402
Bi 2.403 1.388 2.134
```

Top 10 peaks for 15 to 90 degrees two-theta, by angle:
20.81 deg, intensity 32; 21.35 deg, intensity 23; 23.78 deg, intensity 100; 29.99 deg, intensity 17; 37.42 deg, intensity 26; 38.32 deg, intensity 35; 43.20 deg, intensity 31; 44.82 deg, intensity 20; 59.77 deg, intensity 17; 68.10 deg, intensity 13

[7]
This entry pairs a crystal structure of SrMg14Zr with its theoretical powder diffraction line list. Radiation: Cu Kα (λ = 1.5418 Å). Structure: a DFT-relaxed cell (PBE, the Materials Project).

Structure:
```
16
Lattice="6.618 0.000 0.000 -3.309 5.732 0.000 0.000 0.000 10.300" Properties=species:S:1:pos:R:3 pbc="T T T"
Sr 0.000 0.000 0.000
Mg -1.646 2.871 5.150
Mg -1.606 2.894 0.000
Mg 0.000 1.946 2.689
Mg 0.000 1.946 7.611
Mg -1.624 4.759 2.689
Mg -1.624 4.759 7.611
Mg 1.606 2.894 0.000
Mg 0.000 5.676 0.000
Mg 1.646 2.871 5.150
Mg 0.000 5.722 5.150
Mg 1.624 4.759 2.689
Mg 1.624 4.759 7.611
Mg 3.309 1.911 2.555
Mg 3.309 1.911 7.745
Zr 0.000 0.000 5.150
```

Top 10 peaks for 15 to 90 degrees two-theta, by angle:
15.46 deg, intensity 28; 23.22 deg, intensity 25; 31.21 deg, intensity 28; 34.84 deg, intensity 23; 35.86 deg, intensity 100; 47.47 deg, intensity 17; 55.54 deg, intensity 18; 63.13 deg, intensity 17; 67.26 deg, intensity 19; 67.90 deg, intensity 14

[8]
This entry pairs a crystal structure of Dy2In8Co with its theoretical powder diffraction line list. Radiation: Cu Kα (λ = 1.5418 Å). Structure: a DFT-relaxed cell (PBE, the Materials Project).

Structure:
```
11
Lattice="4.672 0.000 0.000 0.000 4.672 0.000 0.000 0.000 11.866" Properties=species:S:1:pos:R:3 pbc="T T T"
Dy 0.000 0.000 2.277
Dy 0.000 0.000 9.589
In 0.000 2.336 0.000
In 0.000 2.336 4.500
In 0.000 2.336 7.365
In 2.336 0.000 0.000
In 2.336 0.000 4.500
In 2.336 0.000 7.365
In 2.336 2.336 2.294
In 2.336 2.336 9.572
Co 0.000 0.000 5.933
```

Top 10 peaks for 15 to 90 degrees two-theta, by angle:
30.98 deg, intensity 45; 35.40 deg, intensity 100; 37.91 deg, intensity 20; 38.54 deg, intensity 58; 55.17 deg, intensity 27; 55.65 deg, intensity 19; 65.06 deg, intensity 11; 67.70 deg, intensity 29; 69.31 deg, intensity 13; 69.47 deg, intensity 15

Please write out number 7 again, unchanged.
This entry pairs a crystal structure of SrMg14Zr with its theoretical powder diffraction line list. Radiation: Cu Kα (λ = 1.5418 Å). Structure: a DFT-relaxed cell (PBE, the Materials Project).

Structure:
```
16
Lattice="6.618 0.000 0.000 -3.309 5.732 0.000 0.000 0.000 10.300" Properties=species:S:1:pos:R:3 pbc="T T T"
Sr 0.000 0.000 0.000
Mg -1.646 2.871 5.150
Mg -1.606 2.894 0.000
Mg 0.000 1.946 2.689
Mg 0.000 1.946 7.611
Mg -1.624 4.759 2.689
Mg -1.624 4.759 7.611
Mg 1.606 2.894 0.000
Mg 0.000 5.676 0.000
Mg 1.646 2.871 5.150
Mg 0.000 5.722 5.150
Mg 1.624 4.759 2.689
Mg 1.624 4.759 7.611
Mg 3.309 1.911 2.555
Mg 3.309 1.911 7.745
Zr 0.000 0.000 5.150
```

Top 10 peaks for 15 to 90 degrees two-theta, by angle:
15.46 deg, intensity 28; 23.22 deg, intensity 25; 31.21 deg, intensity 28; 34.84 deg, intensity 23; 35.86 deg, intensity 100; 47.47 deg, intensity 17; 55.54 deg, intensity 18; 63.13 deg, intensity 17; 67.26 deg, intensity 19; 67.90 deg, intensity 14